No. 1
The following is a theoretical powder diffractogram of BaHo4Au3O12. It was derived from a cell relaxed with GGA-PBE, using Cu Kα (weighted mean of Kα1 and Kα2).

```
data_BaHo4Au3O12
_symmetry_space_group_name_H-M 'P 1'
_symmetry_Int_Tables_number 1
_symmetry_space_group_name_Hall 'P 1'
_cell_length_a 7.210
_cell_length_b 7.210
_cell_length_c 7.210
_cell_angle_alpha 109.47
_cell_angle_beta 109.47
_cell_angle_gamma 109.47
loop_
_atom_site_label
_atom_site_type_symbol
_atom_site_fract_x
_atom_site_fract_y
_atom_site_fract_z
_atom_site_occupancy
Ba1 Ba 0.000 0.000 0.000 1
Ho1 Ho 0.000 0.000 0.500 1
Ho2 Ho 0.000 0.500 0.000 1
Ho3 Ho 0.500 0.000 0.000 1
Ho4 Ho 0.500 0.500 0.500 1
Au1 Au 0.000 0.500 0.500 1
Au2 Au 0.500 0.000 0.500 1
Au3 Au 0.500 0.500 0.000 1
O1 O 0.154 0.838 0.315 1
O2 O 0.162 0.315 0.477 1
O3 O 0.162 0.685 0.846 1
O4 O 0.315 0.154 0.838 1
O5 O 0.315 0.477 0.162 1
O6 O 0.477 0.162 0.315 1
O7 O 0.523 0.838 0.685 1
O8 O 0.685 0.523 0.838 1
O9 O 0.685 0.846 0.162 1
O10 O 0.838 0.315 0.154 1
O11 O 0.838 0.685 0.523 1
O12 O 0.846 0.162 0.685 1
```

Peak list (7 most intense, 2θ = 5–70°, low angle first)
| 2θ (°) | I_rel |
| --- | --- |
| 15.05 | 1.4 |
| 26.22 | 1.4 |
| 30.37 | 100.0 |
| 34.06 | 0.8 |
| 43.48 | 21.2 |
| 53.96 | 46.7 |
| 63.18 | 13.1 |

---

No. 2
The following is a theoretical powder diffractogram of BaHo2Au2O6. It was derived from a cell relaxed with GGA-PBE, using Cu Kα (weighted mean of Kα1 and Kα2).

```
data_BaHo2Au2O6
_symmetry_space_group_name_H-M 'P 1'
_symmetry_Int_Tables_number 1
_symmetry_space_group_name_Hall 'P 1'
_cell_length_a 6.598
_cell_length_b 6.937
_cell_length_c 6.993
_cell_angle_alpha 60.95
_cell_angle_beta 66.53
_cell_angle_gamma 87.24
loop_
_atom_site_label
_atom_site_type_symbol
_atom_site_fract_x
_atom_site_fract_y
_atom_site_fract_z
_atom_site_occupancy
Ba1 Ba 0.000 0.000 0.000 1
Ho1 Ho 0.271 0.554 0.461 1
Ho2 Ho 0.729 0.446 0.539 1
Au1 Au 0.060 0.213 0.377 1
Au2 Au 0.940 0.787 0.623 1
O1 O 0.094 0.577 0.248 1
O2 O 0.353 0.326 0.797 1
O3 O 0.407 0.236 0.625 1
O4 O 0.593 0.764 0.375 1
O5 O 0.647 0.674 0.203 1
O6 O 0.906 0.423 0.752 1
```

Peak list (12 most intense, 2θ = 5–70°, low angle first)
| 2θ (°) | I_rel |
| --- | --- |
| 14.88 | 100.0 |
| 16.05 | 96.0 |
| 19.06 | 26.9 |
| 25.77 | 61.9 |
| 27.02 | 34.2 |
| 29.06 | 26.0 |
| 31.03 | 73.9 |
| 31.80 | 46.2 |
| 38.72 | 30.1 |
| 39.60 | 28.1 |
| 41.09 | 24.2 |
| 43.09 | 22.1 |

---

No. 3
The following is a theoretical powder diffractogram of Ba8Au4I. It was derived from a cell relaxed with GGA-PBE, using Cu Kα (weighted mean of Kα1 and Kα2).

```
data_Ba8Au4I
_symmetry_space_group_name_H-M 'P 1'
_symmetry_Int_Tables_number 1
_symmetry_space_group_name_Hall 'P 1'
_cell_length_a 12.010
_cell_length_b 12.010
_cell_length_c 16.677
_cell_angle_alpha 133.56
_cell_angle_beta 133.56
_cell_angle_gamma 23.21
loop_
_atom_site_label
_atom_site_type_symbol
_atom_site_fract_x
_atom_site_fract_y
_atom_site_fract_z
_atom_site_occupancy
Ba1 Ba 0.000 0.000 0.000 1
Ba2 Ba 0.002 0.002 0.269 1
Ba3 Ba 0.300 0.300 0.944 1
Ba4 Ba 0.308 0.308 0.222 1
Ba5 Ba 0.345 0.345 0.653 1
Ba6 Ba 0.609 0.609 0.905 1
Ba7 Ba 0.698 0.698 0.316 1
Ba8 Ba 0.969 0.969 0.571 1
Au1 Au 0.333 0.333 0.444 1
Au2 Au 0.500 0.500 0.134 1
Au3 Au 0.807 0.807 0.087 1
Au4 Au 0.977 0.977 0.778 1
I1 I 0.639 0.639 0.714 1
```

Peak list (12 most intense, 2θ = 5–70°, low angle first)
| 2θ (°) | I_rel |
| --- | --- |
| 7.49 | 56.1 |
| 10.60 | 75.7 |
| 16.79 | 33.6 |
| 21.29 | 34.7 |
| 21.92 | 34.2 |
| 24.39 | 100.0 |
| 27.21 | 32.4 |
| 28.75 | 80.7 |
| 32.16 | 49.5 |
| 37.22 | 35.0 |
| 39.14 | 48.2 |
| 39.38 | 44.8 |

---

No. 4
The following is a theoretical powder diffractogram of Ba2Au2I. It was derived from a cell relaxed with GGA-PBE, using Cu Kα (weighted mean of Kα1 and Kα2).

```
data_Ba2Au2I
_symmetry_space_group_name_H-M 'P 1'
_symmetry_Int_Tables_number 1
_symmetry_space_group_name_Hall 'P 1'
_cell_length_a 4.873
_cell_length_b 4.873
_cell_length_c 27.500
_cell_angle_alpha 90.00
_cell_angle_beta 90.00
_cell_angle_gamma 120.00
loop_
_atom_site_label
_atom_site_type_symbol
_atom_site_fract_x
_atom_site_fract_y
_atom_site_fract_z
_atom_site_occupancy
Ba1 Ba 0.000 0.000 0.074 1
Ba2 Ba 0.000 0.000 0.926 1
Ba3 Ba 0.333 0.667 0.593 1
Ba4 Ba 0.333 0.667 0.741 1
Ba5 Ba 0.667 0.333 0.259 1
Ba6 Ba 0.667 0.333 0.407 1
Au1 Au 0.000 0.000 0.332 1
Au2 Au 0.000 0.000 0.668 1
Au3 Au 0.333 0.667 0.334 1
Au4 Au 0.333 0.667 0.999 1
Au5 Au 0.667 0.333 0.001 1
Au6 Au 0.667 0.333 0.666 1
I1 I 0.000 0.000 0.500 1
I2 I 0.333 0.667 0.167 1
I3 I 0.667 0.333 0.833 1
```

Peak list (12 most intense, 2θ = 5–70°, low angle first)
| 2θ (°) | I_rel |
| --- | --- |
| 9.65 | 100.0 |
| 26.62 | 87.3 |
| 31.10 | 71.6 |
| 36.89 | 86.2 |
| 38.22 | 25.7 |
| 39.32 | 20.5 |
| 42.00 | 20.7 |
| 46.07 | 19.8 |
| 49.00 | 20.1 |
| 55.01 | 46.3 |
| 60.42 | 17.6 |
| 62.88 | 19.1 |

---

No. 5
The following is a theoretical powder diffractogram of BaAu2I8. It was derived from a cell relaxed with GGA-PBE, using Cu Kα (weighted mean of Kα1 and Kα2).

```
data_BaAu2I8
_symmetry_space_group_name_H-M 'P 1'
_symmetry_Int_Tables_number 1
_symmetry_space_group_name_Hall 'P 1'
_cell_length_a 9.135
_cell_length_b 9.135
_cell_length_c 9.135
_cell_angle_alpha 126.18
_cell_angle_beta 126.18
_cell_angle_gamma 79.59
loop_
_atom_site_label
_atom_site_type_symbol
_atom_site_fract_x
_atom_site_fract_y
_atom_site_fract_z
_atom_site_occupancy
Ba1 Ba 0.000 0.000 0.000 1
Au1 Au 0.250 0.750 0.500 1
Au2 Au 0.750 0.250 0.500 1
I1 I 0.059 0.540 0.836 1
I2 I 0.223 0.059 0.520 1
I3 I 0.297 0.460 0.520 1
I4 I 0.460 0.941 0.164 1
I5 I 0.540 0.703 0.480 1
I6 I 0.703 0.223 0.164 1
I7 I 0.777 0.297 0.836 1
I8 I 0.941 0.777 0.480 1
```

Peak list (12 most intense, 2θ = 5–70°, low angle first)
| 2θ (°) | I_rel |
| --- | --- |
| 15.15 | 58.0 |
| 19.76 | 65.0 |
| 24.91 | 100.0 |
| 30.58 | 26.7 |
| 30.82 | 59.6 |
| 33.49 | 74.0 |
| 36.68 | 37.3 |
| 43.15 | 37.7 |
| 45.71 | 17.5 |
| 46.60 | 21.0 |
| 51.30 | 19.5 |
| 51.87 | 17.5 |

---

No. 6
The following is a theoretical powder diffractogram of Ba4AuI2. It was derived from a cell relaxed with GGA-PBE, using Cu Kα (weighted mean of Kα1 and Kα2).

```
data_Ba4AuI2
_symmetry_space_group_name_H-M 'P 1'
_symmetry_Int_Tables_number 1
_symmetry_space_group_name_Hall 'P 1'
_cell_length_a 18.009
_cell_length_b 18.009
_cell_length_c 18.009
_cell_angle_alpha 14.90
_cell_angle_beta 14.90
_cell_angle_gamma 14.90
loop_
_atom_site_label
_atom_site_type_symbol
_atom_site_fract_x
_atom_site_fract_y
_atom_site_fract_z
_atom_site_occupancy
Ba1 Ba 0.132 0.132 0.132 1
Ba2 Ba 0.368 0.368 0.368 1
Ba3 Ba 0.632 0.632 0.632 1
Ba4 Ba 0.868 0.868 0.868 1
Au1 Au 0.000 0.000 0.000 1
I1 I 0.249 0.249 0.249 1
I2 I 0.751 0.751 0.751 1
```

Peak list (12 most intense, 2θ = 5–70°, low angle first)
| 2θ (°) | I_rel |
| --- | --- |
| 22.05 | 6.3 |
| 25.76 | 100.0 |
| 27.67 | 7.0 |
| 34.85 | 37.3 |
| 38.57 | 36.7 |
| 46.96 | 19.5 |
| 49.73 | 11.2 |
| 52.95 | 11.2 |
| 57.18 | 12.7 |
| 62.33 | 16.8 |
| 67.39 | 10.9 |
| 69.78 | 6.4 |

---

No. 7
The following is a theoretical powder diffractogram of Ba6IrAu2I. It was derived from a cell relaxed with GGA-PBE, using Cu Kα (weighted mean of Kα1 and Kα2).

```
data_Ba6IrAu2I
_symmetry_space_group_name_H-M 'P 1'
_symmetry_Int_Tables_number 1
_symmetry_space_group_name_Hall 'P 1'
_cell_length_a 8.057
_cell_length_b 8.918
_cell_length_c 14.548
_cell_angle_alpha 90.00
_cell_angle_beta 122.97
_cell_angle_gamma 90.00
loop_
_atom_site_label
_atom_site_type_symbol
_atom_site_fract_x
_atom_site_fract_y
_atom_site_fract_z
_atom_site_occupancy
Ba1 Ba 0.066 0.058 0.228 1
Ba2 Ba 0.066 0.442 0.728 1
Ba3 Ba 0.228 0.702 0.082 1
Ba4 Ba 0.228 0.798 0.582 1
Ba5 Ba 0.386 0.159 0.079 1
Ba6 Ba 0.386 0.341 0.579 1
Ba7 Ba 0.614 0.659 0.421 1
Ba8 Ba 0.614 0.841 0.921 1
Ba9 Ba 0.772 0.202 0.418 1
Ba10 Ba 0.772 0.298 0.918 1
Ba11 Ba 0.934 0.558 0.272 1
Ba12 Ba 0.934 0.942 0.772 1
Ir1 Ir 0.000 0.000 0.000 1
Ir2 Ir 0.000 0.500 0.500 1
Au1 Au 0.300 0.111 0.745 1
Au2 Au 0.300 0.389 0.245 1
Au3 Au 0.700 0.611 0.755 1
Au4 Au 0.700 0.889 0.255 1
I1 I 0.500 0.000 0.500 1
I2 I 0.500 0.500 0.000 1
```

Peak list (12 most intense, 2θ = 5–70°, low angle first)
| 2θ (°) | I_rel |
| --- | --- |
| 20.71 | 87.8 |
| 20.89 | 81.2 |
| 25.26 | 62.3 |
| 25.41 | 83.3 |
| 26.39 | 61.6 |
| 26.61 | 80.1 |
| 27.06 | 56.7 |
| 29.73 | 75.9 |
| 32.09 | 100.0 |
| 32.91 | 55.9 |
| 35.65 | 59.8 |
| 37.81 | 87.7 |

---

No. 8
The following is a theoretical powder diffractogram of BaInAu11. It was derived from a cell relaxed with GGA-PBE, using Cu Kα (weighted mean of Kα1 and Kα2).

```
data_BaInAu11
_symmetry_space_group_name_H-M 'P 1'
_symmetry_Int_Tables_number 1
_symmetry_space_group_name_Hall 'P 1'
_cell_length_a 7.127
_cell_length_b 7.127
_cell_length_c 7.692
_cell_angle_alpha 97.59
_cell_angle_beta 97.59
_cell_angle_gamma 133.10
loop_
_atom_site_label
_atom_site_type_symbol
_atom_site_fract_x
_atom_site_fract_y
_atom_site_fract_z
_atom_site_occupancy
Ba1 Ba 0.000 0.000 0.000 1
In1 In 0.500 0.500 0.500 1
Au1 Au 0.000 0.000 0.500 1
Au2 Au 0.000 0.500 0.000 1
Au3 Au 0.033 0.673 0.653 1
Au4 Au 0.293 0.513 0.780 1
Au5 Au 0.327 0.967 0.347 1
Au6 Au 0.487 0.707 0.220 1
Au7 Au 0.500 0.000 0.000 1
Au8 Au 0.513 0.293 0.780 1
Au9 Au 0.673 0.033 0.653 1
Au10 Au 0.707 0.487 0.220 1
Au11 Au 0.967 0.327 0.347 1
```

Peak list (12 most intense, 2θ = 5–70°, low angle first)
| 2θ (°) | I_rel |
| --- | --- |
| 18.30 | 32.6 |
| 32.19 | 31.7 |
| 34.86 | 46.3 |
| 35.97 | 33.6 |
| 36.28 | 45.3 |
| 37.02 | 100.0 |
| 37.14 | 68.9 |
| 38.31 | 54.6 |
| 39.58 | 52.0 |
| 39.74 | 43.9 |
| 41.13 | 53.0 |
| 42.20 | 58.6 |

---

No. 9
The following is a theoretical powder diffractogram of Ba3In4Au4. It was derived from a cell relaxed with GGA-PBE, using Cu Kα (weighted mean of Kα1 and Kα2).

```
data_Ba3In4Au4
_symmetry_space_group_name_H-M 'P 1'
_symmetry_Int_Tables_number 1
_symmetry_space_group_name_Hall 'P 1'
_cell_length_a 4.522
_cell_length_b 4.873
_cell_length_c 15.207
_cell_angle_alpha 99.18
_cell_angle_beta 98.55
_cell_angle_gamma 90.13
loop_
_atom_site_label
_atom_site_type_symbol
_atom_site_fract_x
_atom_site_fract_y
_atom_site_fract_z
_atom_site_occupancy
Ba1 Ba 0.000 0.000 0.000 1
Ba2 Ba 0.148 0.648 0.295 1
Ba3 Ba 0.852 0.352 0.705 1
In1 In 0.251 0.252 0.503 1
In2 In 0.403 0.903 0.806 1
In3 In 0.597 0.097 0.194 1
In4 In 0.749 0.748 0.497 1
Au1 Au 0.309 0.808 0.616 1
Au2 Au 0.451 0.451 0.902 1
Au3 Au 0.549 0.549 0.098 1
Au4 Au 0.691 0.192 0.384 1
```

Peak list (12 most intense, 2θ = 5–70°, low angle first)
| 2θ (°) | I_rel |
| --- | --- |
| 19.86 | 31.0 |
| 27.57 | 41.2 |
| 28.87 | 63.8 |
| 29.51 | 100.0 |
| 32.79 | 26.0 |
| 36.89 | 51.6 |
| 38.12 | 53.6 |
| 39.87 | 41.6 |
| 40.81 | 37.8 |
| 44.45 | 23.3 |
| 47.51 | 32.5 |
| 56.35 | 34.4 |

---

No. 10
The following is a theoretical powder diffractogram of BaIn2Au. It was derived from a cell relaxed with GGA-PBE, using Cu Kα (weighted mean of Kα1 and Kα2).

```
data_BaIn2Au
_symmetry_space_group_name_H-M 'P 1'
_symmetry_Int_Tables_number 1
_symmetry_space_group_name_Hall 'P 1'
_cell_length_a 18.004
_cell_length_b 7.960
_cell_length_c 6.479
_cell_angle_alpha 90.00
_cell_angle_beta 90.00
_cell_angle_gamma 90.00
loop_
_atom_site_label
_atom_site_type_symbol
_atom_site_fract_x
_atom_site_fract_y
_atom_site_fract_z
_atom_site_occupancy
Ba1 Ba 0.105 0.250 0.225 1
Ba2 Ba 0.142 0.750 0.011 1
Ba3 Ba 0.358 0.250 0.511 1
Ba4 Ba 0.395 0.750 0.725 1
Ba5 Ba 0.605 0.250 0.275 1
Ba6 Ba 0.642 0.750 0.489 1
Ba7 Ba 0.858 0.250 0.989 1
Ba8 Ba 0.895 0.750 0.775 1
In1 In 0.037 0.055 0.730 1
In2 In 0.037 0.445 0.730 1
In3 In 0.214 0.557 0.514 1
In4 In 0.214 0.943 0.514 1
In5 In 0.286 0.057 0.014 1
In6 In 0.286 0.443 0.014 1
In7 In 0.463 0.555 0.230 1
In8 In 0.463 0.945 0.230 1
In9 In 0.537 0.055 0.770 1
In10 In 0.537 0.445 0.770 1
In11 In 0.714 0.557 0.986 1
In12 In 0.714 0.943 0.986 1
In13 In 0.786 0.057 0.486 1
In14 In 0.786 0.443 0.486 1
In15 In 0.963 0.555 0.270 1
In16 In 0.963 0.945 0.270 1
Au1 Au 0.073 0.750 0.505 1
Au2 Au 0.175 0.250 0.737 1
Au3 Au 0.325 0.750 0.237 1
Au4 Au 0.427 0.250 0.005 1
Au5 Au 0.573 0.750 0.995 1
Au6 Au 0.675 0.250 0.763 1
Au7 Au 0.825 0.750 0.263 1
Au8 Au 0.927 0.250 0.495 1
```

Peak list (12 most intense, 2θ = 5–70°, low angle first)
| 2θ (°) | I_rel |
| --- | --- |
| 14.53 | 21.2 |
| 29.97 | 44.9 |
| 30.54 | 25.8 |
| 31.43 | 100.0 |
| 32.89 | 19.0 |
| 33.07 | 29.7 |
| 34.82 | 17.3 |
| 37.15 | 38.0 |
| 37.63 | 23.9 |
| 37.98 | 18.2 |
| 39.42 | 23.6 |
| 66.23 | 16.8 |

---

No. 11
The following is a theoretical powder diffractogram of Ba4InAu. It was derived from a cell relaxed with GGA-PBE, using Cu Kα (weighted mean of Kα1 and Kα2).

```
data_Ba4InAu
_symmetry_space_group_name_H-M 'P 1'
_symmetry_Int_Tables_number 1
_symmetry_space_group_name_Hall 'P 1'
_cell_length_a 10.311
_cell_length_b 4.662
_cell_length_c 22.127
_cell_angle_alpha 90.00
_cell_angle_beta 90.00
_cell_angle_gamma 90.00
loop_
_atom_site_label
_atom_site_type_symbol
_atom_site_fract_x
_atom_site_fract_y
_atom_site_fract_z
_atom_site_occupancy
Ba1 Ba 0.011 0.250 0.074 1
Ba2 Ba 0.032 0.250 0.771 1
Ba3 Ba 0.146 0.250 0.359 1
Ba4 Ba 0.154 0.250 0.558 1
Ba5 Ba 0.346 0.750 0.058 1
Ba6 Ba 0.354 0.750 0.859 1
Ba7 Ba 0.468 0.750 0.271 1
Ba8 Ba 0.489 0.750 0.574 1
Ba9 Ba 0.511 0.250 0.426 1
Ba10 Ba 0.532 0.250 0.729 1
Ba11 Ba 0.646 0.250 0.141 1
Ba12 Ba 0.654 0.250 0.942 1
Ba13 Ba 0.846 0.750 0.442 1
Ba14 Ba 0.854 0.750 0.641 1
Ba15 Ba 0.968 0.750 0.229 1
Ba16 Ba 0.989 0.750 0.926 1
In1 In 0.239 0.750 0.691 1
In2 In 0.261 0.250 0.191 1
In3 In 0.739 0.750 0.809 1
In4 In 0.761 0.250 0.309 1
Au1 Au 0.226 0.250 0.953 1
Au2 Au 0.274 0.750 0.453 1
Au3 Au 0.726 0.250 0.547 1
Au4 Au 0.774 0.750 0.047 1
```

Peak list (12 most intense, 2θ = 5–70°, low angle first)
| 2θ (°) | I_rel |
| --- | --- |
| 7.99 | 18.8 |
| 25.76 | 39.7 |
| 26.24 | 18.3 |
| 26.49 | 72.2 |
| 27.80 | 59.9 |
| 28.51 | 100.0 |
| 30.62 | 29.6 |
| 32.62 | 18.4 |
| 32.87 | 28.6 |
| 38.61 | 46.5 |
| 40.80 | 19.2 |
| 48.44 | 20.5 |

---

No. 12
The following is a theoretical powder diffractogram of Ba5InAu. It was derived from a cell relaxed with GGA-PBE, using Cu Kα (weighted mean of Kα1 and Kα2).

```
data_Ba5InAu
_symmetry_space_group_name_H-M 'P 1'
_symmetry_Int_Tables_number 1
_symmetry_space_group_name_Hall 'P 1'
_cell_length_a 8.195
_cell_length_b 8.195
_cell_length_c 12.828
_cell_angle_alpha 108.46
_cell_angle_beta 108.46
_cell_angle_gamma 62.66
loop_
_atom_site_label
_atom_site_type_symbol
_atom_site_fract_x
_atom_site_fract_y
_atom_site_fract_z
_atom_site_occupancy
Ba1 Ba 0.045 0.955 0.750 1
Ba2 Ba 0.057 0.389 0.641 1
Ba3 Ba 0.232 0.551 0.987 1
Ba4 Ba 0.389 0.057 0.141 1
Ba5 Ba 0.449 0.768 0.513 1
Ba6 Ba 0.551 0.232 0.487 1
Ba7 Ba 0.611 0.943 0.859 1
Ba8 Ba 0.768 0.449 0.013 1
Ba9 Ba 0.943 0.611 0.359 1
Ba10 Ba 0.955 0.045 0.250 1
In1 In 0.465 0.535 0.750 1
In2 In 0.535 0.465 0.250 1
Au1 Au 0.000 0.000 0.000 1
Au2 Au 0.000 0.000 0.500 1
```

Peak list (12 most intense, 2θ = 5–70°, low angle first)
| 2θ (°) | I_rel |
| --- | --- |
| 13.62 | 42.5 |
| 23.32 | 55.6 |
| 24.57 | 76.7 |
| 24.99 | 89.2 |
| 25.90 | 35.2 |
| 26.50 | 62.8 |
| 27.92 | 100.0 |
| 30.03 | 32.9 |
| 31.49 | 29.7 |
| 33.76 | 29.9 |
| 36.80 | 73.3 |
| 38.82 | 33.1 |